Simulated powder diffraction line list
Compound: W5O12F
Radiation: Cu Kα (weighted mean of Kα1 and Kα2)
Structure: a DFT-relaxed cell (PBE+U, Alexandria)

a = 18.2412 Å, b = 3.8675 Å, c = 6.3818 Å
α = 90.00°, β = 90.00°, γ = 90.00°
Element x y z (fractional)
W1 0.0617 0.0000 0.2042
W2 0.1483 0.0000 0.7465
W3 0.2500 0.0000 0.2985
W4 0.3517 0.0000 0.7465
W5 0.4383 0.0000 0.2042
W6 0.5617 0.0000 0.7958
W7 0.6483 0.0000 0.2535
W8 0.7500 0.0000 0.7015
W9 0.8517 0.0000 0.2535
W10 0.9383 0.0000 0.7958
O1 0.0484 0.0000 0.8785
O2 0.0599 0.5000 0.2094
O3 0.1403 0.0000 0.4285
O4 0.1480 0.5000 0.7450
O5 0.1688 0.0000 0.0615
O6 0.2500 0.0000 0.6283
O7 0.2500 0.5000 0.2967
O8 0.3312 0.0000 0.0615
O9 0.3520 0.5000 0.7450
O10 0.3597 0.0000 0.4285
O11 0.4401 0.5000 0.2094
O12 0.4516 0.0000 0.8785
O13 0.5484 0.0000 0.1215
O14 0.5599 0.5000 0.7906
O15 0.6403 0.0000 0.5715
O16 0.6480 0.5000 0.2550
O17 0.6688 0.0000 0.9385
O18 0.7500 0.0000 0.3717
O19 0.7500 0.5000 0.7033
O20 0.8312 0.0000 0.9385
O21 0.8520 0.5000 0.2550
O22 0.8597 0.0000 0.5715
O23 0.9401 0.5000 0.7906
O24 0.9516 0.0000 0.1215
F1 0.0000 0.0000 0.5000
F2 0.5000 0.0000 0.5000

Principal peaks in the range 2θ = 15–90°, by angle:
23.00°, rel. 988
27.96°, rel. 449
28.18°, rel. 1000
36.51°, rel. 298
36.67°, rel. 673
47.00°, rel. 223
49.61°, rel. 191
49.98°, rel. 193
55.35°, rel. 204
55.70°, rel. 432